# 1
Mg3Sn: computed X-ray diffraction stick pattern (Cu Ka), based on a structure optimized by DFT (GGA-PBE).

Cell and atoms:
Lattice parameters (Å, degrees): 3.316 5.186 5.441 90.00 90.00 90.00
Space group Pmm2 (No. 25)
Symmetry-distinct sites (fractional):
Mg  0.000  0.000  0.000 (multiplicity 1)
Mg  0.000  0.500  0.333 (multiplicity 1)
Mg  0.500  0.000  0.500 (multiplicity 1)
Sn  0.500  0.500  0.833 (multiplicity 1)

Most intense lines, 2θ from 10° to 90°, by intensity:
d_spacing	intensity
2.485	100
5.441	48
2.409	46
5.186	43
3.754	41
2.831	38
2.593	35
1.912	25
1.475	20
2.794	20
1.356	19
2.721	17


# 2
MgSn: computed X-ray diffraction stick pattern (Cu Ka), based on a structure optimized by DFT (GGA-PBE).

Cell and atoms:
Lattice parameters (Å, degrees): 9.626 5.657 5.857 90.00 111.57 90.00
Space group C2 (No. 5)
Symmetry-distinct sites (fractional):
Mg  0.000  0.000  0.000 (multiplicity 2)
Mg  0.168  0.329  0.505 (multiplicity 4)
Sn  0.000  0.840  0.500 (multiplicity 2)
Sn  0.169  0.493  0.001 (multiplicity 4)

Most intense lines, 2θ from 10° to 90°, by intensity:
d_spacing	intensity
2.639	100
2.510	79
2.723	69
2.307	69
4.005	53
4.325	42
2.752	37
3.288	33
1.618	29
1.646	29
2.829	26
1.455	21


# 3
Mg5Sn: computed X-ray diffraction stick pattern (Cu Ka), based on a structure optimized by DFT (GGA-PBE).

Cell and atoms:
Lattice parameters (Å, degrees): 5.055 3.365 16.149 90.00 90.00 90.00
Space group Amm2 (No. 38)
Symmetry-distinct sites (fractional):
Mg  0.000  0.000  0.000 (multiplicity 2)
Mg  0.000  0.000  0.332 (multiplicity 2)
Mg  0.000  0.000  0.667 (multiplicity 2)
Mg  0.500  0.000  0.222 (multiplicity 2)
Mg  0.500  0.000  0.887 (multiplicity 2)
Sn  0.500  0.000  0.556 (multiplicity 2)

Most intense lines, 2θ from 10° to 90°, by intensity:
d_spacing	intensity
2.485	100
8.074	72
2.376	44
4.284	36
2.853	33
2.527	33
5.055	27
2.760	25
1.892	20
3.294	19
1.451	19
1.342	18


# 4
Mg3Sn: computed X-ray diffraction stick pattern (Cu Ka), based on a structure optimized by DFT (GGA-PBE).

Cell and atoms:
Lattice parameters (Å, degrees): 6.3289 6.3289 5.2695 90.00 90.00 120.00
Space group P6_3/m (No. 176)
Symmetry-distinct sites (fractional):
Mg  0.1579  0.3313  0.2500 (multiplicity 6)
Sn  0.3333  0.6667  0.7500 (multiplicity 2)

Most intense lines, 2θ from 10° to 90°, by intensity:
d_spacing	intensity
2.431	100
3.799	74
3.164	31
2.635	28
5.481	28
1.928	24
2.740	23
1.479	21
1.356	21
2.025	19
1.582	18
1.899	16